The following is a calculated X-ray powder pattern of Ba4In2S. It was derived from a cell relaxed with PBE, using Cu Ka.
Lines closer than 0.1° are merged.

Most intense lines, 2θ from 10° to 80°, sorted by position:
two_theta	d [Å]	I (rel.)
20.38	4.359	28
22.95	3.875	73
28.97	3.082	100
29.42	3.036	66
30.11	2.968	69
41.43	2.179	37
42.28	2.138	53
51.63	1.770	27

```
data_Ba4In2S
_space_group_name_H-M_alt 'I 4/m m m'
_space_group_IT_number 139
_space_group_name_Hall '-I 4 2'
_cell_length_a 6.164
_cell_length_b 6.164
_cell_length_c 16.928
_cell_angle_alpha 90.00
_cell_angle_beta 90.00
_cell_angle_gamma 90.00
loop_
_atom_site_label
_atom_site_fract_x
_atom_site_fract_y
_atom_site_fract_z
Ba1 0.000 0.000 0.184
Ba2 0.000 0.500 0.000
In1 0.000 0.000 0.391
S1 0.000 0.000 0.000
```

---

The following is a calculated X-ray powder pattern of Ba2InSnS5. It was derived from a cell relaxed with PBE, using Cu Ka.
Lines closer than 0.1° are merged.

Most intense lines, 2θ from 10° to 80°, sorted by position:
two_theta	d [Å]	I (rel.)
23.59	3.772	40
24.13	3.688	21
25.00	3.562	19
25.35	3.514	34
26.03	3.424	37
30.10	2.969	100
35.02	2.562	37
41.20	2.191	25

```
data_Ba2InSnS5
_space_group_name_H-M_alt 'C m c 21'
_space_group_IT_number 36
_space_group_name_Hall 'C 2c -2'
_cell_length_a 4.382
_cell_length_b 18.340
_cell_length_c 12.414
_cell_angle_alpha 90.00
_cell_angle_beta 90.00
_cell_angle_gamma 90.00
loop_
_atom_site_label
_atom_site_fract_x
_atom_site_fract_y
_atom_site_fract_z
Ba1 0.000 0.118 0.000
Ba2 0.000 0.126 0.623
In1 0.000 0.221 0.341
Sn1 0.000 0.437 0.772
S1 0.000 0.048 0.365
S2 0.000 0.291 0.971
S3 0.000 0.311 0.693
S4 0.000 0.357 0.315
S5 0.000 0.497 0.595
```

---

The following is a calculated X-ray powder pattern of Ba2TmInS5. It was derived from a cell relaxed with PBE, using Cu Ka.
Lines closer than 0.1° are merged.

Most intense lines, 2θ from 10° to 80°, sorted by position:
two_theta	d [Å]	I (rel.)
22.69	3.919	56
26.04	3.422	65
26.96	3.307	42
30.10	2.969	62
30.28	2.952	100
35.55	2.525	48
43.24	2.093	28
49.95	1.826	36

```
data_Ba2TmInS5
_space_group_name_H-M_alt 'C m c 21'
_space_group_IT_number 36
_space_group_name_Hall 'C 2c -2'
_cell_length_a 4.129
_cell_length_b 18.295
_cell_length_c 13.013
_cell_angle_alpha 90.00
_cell_angle_beta 90.00
_cell_angle_gamma 90.00
loop_
_atom_site_label
_atom_site_fract_x
_atom_site_fract_y
_atom_site_fract_z
Ba1 0.000 0.117 0.000
Ba2 0.000 0.134 0.631
Tm1 0.000 0.212 0.339
In1 0.000 0.446 0.760
S1 0.000 0.054 0.370
S2 0.000 0.290 0.973
S3 0.000 0.313 0.696
S4 0.000 0.354 0.320
S5 0.000 0.496 0.093
```

---

The following is a calculated X-ray powder pattern of Ba2ZnInS5. It was derived from a cell relaxed with PBE, using Cu Ka.
Lines closer than 0.1° are merged.

Most intense lines, 2θ from 10° to 80°, sorted by position:
two_theta	d [Å]	I (rel.)
23.72	3.751	48
23.91	3.722	26
26.48	3.366	25
26.93	3.311	28
29.55	3.023	40
31.16	2.870	100
35.55	2.525	50
43.96	2.060	28

```
data_Ba2ZnInS5
_space_group_name_H-M_alt 'C m c 21'
_space_group_IT_number 36
_space_group_name_Hall 'C 2c -2'
_cell_length_a 4.120
_cell_length_b 18.715
_cell_length_c 12.283
_cell_angle_alpha 90.00
_cell_angle_beta 90.00
_cell_angle_gamma 90.00
loop_
_atom_site_label
_atom_site_fract_x
_atom_site_fract_y
_atom_site_fract_z
Ba1 0.000 0.117 0.000
Ba2 0.000 0.123 0.615
Zn1 0.000 0.431 0.743
In1 0.000 0.219 0.327
S1 0.000 0.074 0.339
S2 0.000 0.287 0.970
S3 0.000 0.304 0.682
S4 0.000 0.353 0.310
S5 0.000 0.497 0.586
```

---

The following is a calculated X-ray powder pattern of Ba5In2Sb. It was derived from a cell relaxed with PBE, using Cu Ka.
Lines closer than 0.1° are merged.

Most intense lines, 2θ from 10° to 80°, sorted by position:
two_theta	d [Å]	I (rel.)
26.98	3.304	100
27.87	3.202	16
28.68	3.113	45
31.25	2.862	59
44.18	2.050	14
44.78	2.024	17
47.59	1.911	14
56.05	1.641	14

```
data_Ba5In2Sb
_space_group_name_H-M_alt 'I 4/m c m'
_space_group_IT_number 140
_space_group_name_Hall '-I 4 2c'
_cell_length_a 9.056
_cell_length_b 9.056
_cell_length_c 17.144
_cell_angle_alpha 90.00
_cell_angle_beta 90.00
_cell_angle_gamma 90.00
loop_
_atom_site_label
_atom_site_fract_x
_atom_site_fract_y
_atom_site_fract_z
Ba1 0.000 0.000 0.000
Ba2 0.174 0.326 0.148
In1 0.116 0.384 0.500
Sb1 0.000 0.000 0.250
```